Entry 1:
Starting from a crystal structure in Alexandria, relaxed with GGA-PBE, the powder X-ray diffraction pattern of NdYSe2 was simulated for Cu Kα (weighted mean of Kα1 and Kα2).
Neutral-atom scattering factors, no anomalous dispersion.

Main lines, low angle first (2θ from 10° to 90°):
2θ/deg	Rel. int.
28.20	59
31.65	100
35.97	12
40.95	35
44.29	55
46.42	21
51.97	11
55.45	20
70.62	26
73.56	17

Crystal structure
Cell: 4.091 4.091 14.076 Å, 90.00 90.00 120.00°
Element x y z (fractional)
Nd 0.333 0.667 0.250
Nd 0.667 0.333 0.750
Y 0.000 0.000 0.000
Y 0.000 0.000 0.500
Se 0.333 0.667 0.618
Se 0.333 0.667 0.882
Se 0.667 0.333 0.118
Se 0.667 0.333 0.382

=====

Entry 2:
Starting from a crystal structure in Alexandria, relaxed with GGA-PBE, the powder X-ray diffraction pattern of NdY3Se6 was simulated for Cu Kα (weighted mean of Kα1 and Kα2).
Neutral-atom scattering factors, no anomalous dispersion.

Main lines, low angle first (2θ from 10° to 90°):
2θ/deg	Rel. int.
22.90	39
26.69	35
29.59	100
30.55	55
31.18	40
32.15	33
32.61	70
40.13	58
41.73	38
43.66	60

Crystal structure
Cell: 11.633 4.146 11.929 Å, 90.00 109.09 90.00°
Element x y z (fractional)
Nd 0.047 0.250 0.195
Nd 0.953 0.750 0.805
Y 0.159 0.250 0.585
Y 0.319 0.750 0.999
Y 0.437 0.250 0.333
Y 0.563 0.750 0.667
Y 0.681 0.250 0.001
Y 0.841 0.750 0.415
Se 0.084 0.750 0.404
Se 0.116 0.250 0.965
Se 0.195 0.750 0.750
Se 0.259 0.750 0.226
Se 0.394 0.250 0.560
Se 0.481 0.250 0.114
Se 0.519 0.750 0.886
Se 0.606 0.750 0.440
Se 0.741 0.250 0.774
Se 0.805 0.250 0.250
Se 0.884 0.750 0.035
Se 0.916 0.250 0.596

=====

Entry 3:
Starting from a crystal structure in Alexandria, relaxed with GGA-PBE, the powder X-ray diffraction pattern of Nd4ZnSe3 was simulated for Cu Kα (weighted mean of Kα1 and Kα2).
Neutral-atom scattering factors, no anomalous dispersion.

Main lines, low angle first (2θ from 10° to 90°):
2θ/deg	Rel. int.
25.70	17
29.76	100
42.59	75
50.37	6
52.82	26
61.74	8
70.04	22
70.19	11
77.91	17
78.04	8

Crystal structure
Cell: 7.347 7.347 7.347 Å, 131.72 131.72 70.68°
Element x y z (fractional)
Nd 0.000 0.500 0.500
Nd 0.247 0.247 0.000
Nd 0.500 0.000 0.500
Nd 0.753 0.753 0.000
Zn 0.500 0.500 0.000
Se 0.000 0.000 0.000
Se 0.250 0.750 0.500
Se 0.750 0.250 0.500